Ba3Y2WO9: computed XRD peak list (Cu Kα (λ = 1.5418 Å)), based on the PBE+U geometry in Alexandria.

Structural model:
Cell: 6.1072 8.6565 18.3221 Å, 90.00 90.00 90.00°
Space group Immm (No. 71)
Inequivalent atoms, fractional coordinates:
Ba1 0.0000 0.2350 0.0000 (multiplicity 4)
Ba2 0.0000 0.2601 0.3394 (multiplicity 8)
Y1 0.0000 0.0000 0.1716 (multiplicity 4)
Y2 0.0000 0.0000 0.5000 (multiplicity 2)
Y3 0.0000 0.5000 0.5000 (multiplicity 2)
W1 0.0000 0.5000 0.1654 (multiplicity 4)
O1 0.0000 0.2466 0.5000 (multiplicity 4)
O2 0.0000 0.2718 0.1689 (multiplicity 8)
O3 0.2272 0.5000 0.0894 (multiplicity 8)
O4 0.2298 0.5000 0.2400 (multiplicity 8)
O5 0.2494 0.0000 0.0893 (multiplicity 8)

Largest 10 diffraction maxima, in order of falling intensity, 5° ≤ 2θ ≤ 70°:
2θ 29.22, I = 100, (2 0 0)
2θ 51.82, I = 39, (3 2 3)
2θ 41.80, I = 30, (2 0 6)
2θ 60.60, I = 18, (4 0 0)
2θ 68.73, I = 12, (4 0 6)
2θ 68.58, I = 6, (1 6 3)
2θ 17.77, I = 5, (1 1 0)
2θ 35.99, I = 2, (2 2 0)
2θ 34.41, I = 2, (0 3 3)
2θ 26.41, I = 1, (1 1 4)